Computed X-ray powder pattern
Compound: Pu3HfGa12
Radiation: Cu Kα (λ = 1.5418 Å)
Structure: the GGA-PBE geometry in Alexandria
No peak broadening, texture or thermal motion is included.

Atomic structure:
```
data_Pu3HfGa12
_chemical_formula_sum 'Pu3 Hf1 Ga12'
_space_group_name_H-M_alt 'P 4/m m m'
_space_group_IT_number 123
_space_group_name_Hall '-P 4 2'
_cell_length_a 4.233
_cell_length_b 4.233
_cell_length_c 16.946
_cell_angle_alpha 90.00
_cell_angle_beta 90.00
_cell_angle_gamma 90.00
loop_
_atom_site_label
_atom_site_type_symbol
_atom_site_fract_x
_atom_site_fract_y
_atom_site_fract_z
Pu1 Pu 0.000 0.000 0.000
Pu2 Pu 0.000 0.000 0.257
Hf1 Hf 0.000 0.000 0.500
Ga1 Ga 0.000 0.500 0.127
Ga2 Ga 0.000 0.500 0.380
Ga3 Ga 0.500 0.500 0.000
Ga4 Ga 0.500 0.500 0.252
Ga5 Ga 0.500 0.500 0.500
```

Main lines, sorted by position (2θ from 10° to 90°):
h k l, two_theta, I/Imax
1 0 0, 20.98, 33
1 1 0, 29.84, 28
1 1 4, 36.77, 100
2 0 0, 42.71, 49
2 1 0, 48.05, 16
2 1 4, 52.97, 12
2 2 0, 61.99, 32
3 0 0, 66.22, 8
3 1 4, 74.30, 37
2 2 8, 78.21, 11